Diffraction record for Li2LaTlO. The powder diffraction line list is calculated, not measured: it uses a DFT-relaxed cell (GGA-PBE, Alexandria) and Cu Kα.
Lines closer than 0.1° are merged.

Top 6 peaks for 10° ≤ 2θ ≤ 90°, most intense first:
two_theta, intensity
32.70, 100.0
26.06, 97.2
19.40, 78.5
42.28, 44.1
37.19, 43.0
47.85, 37.3

a = 4.8349 Å, b = 4.8349 Å, c = 4.5748 Å
α = 90.00°, β = 90.00°, γ = 90.00°
Fractional positions:
Li  0.0000  0.5000  0.0000
Li  0.5000  0.0000  0.0000
La  0.0000  0.0000  0.5000
Tl  0.5000  0.5000  0.5000
O  0.0000  0.0000  0.0000



Diffraction record for Tb3Tl3TcO8. The powder diffraction line list is calculated, not measured: it uses a DFT-relaxed cell (GGA-PBE, Alexandria) and Cu Kα.
Lines closer than 0.1° are merged.

Top 6 peaks for 10° ≤ 2θ ≤ 90°, most intense first:
two_theta, intensity
35.37, 100.0
31.53, 90.7
27.23, 51.2
48.12, 37.7
61.10, 32.6
53.55, 31.1

a = 7.6490 Å, b = 7.6490 Å, c = 7.6490 Å
α = 53.16°, β = 53.16°, γ = 53.16°
Fractional positions:
Tb  0.0000  0.5000  0.5000
Tb  0.5000  0.0000  0.5000
Tb  0.5000  0.5000  0.0000
Tl  0.0000  0.0000  0.5000
Tl  0.0000  0.5000  0.0000
Tl  0.5000  0.0000  0.0000
Tc  0.0000  0.0000  0.0000
O  0.2073  0.2073  0.7494
O  0.2073  0.7494  0.2073
O  0.2506  0.7927  0.7927
O  0.2768  0.2768  0.2768
O  0.7232  0.7232  0.7232
O  0.7494  0.2073  0.2073
O  0.7927  0.2506  0.7927
O  0.7927  0.7927  0.2506



Diffraction record for Hg3SBr5. The powder diffraction line list is calculated, not measured: it uses a DFT-relaxed cell (GGA-PBE, Alexandria) and Cu Kα.
Lines closer than 0.1° are merged.

Top 6 peaks for 10° ≤ 2θ ≤ 90°, most intense first:
two_theta, intensity
17.78, 100.0
14.31, 89.1
26.78, 76.6
40.70, 38.5
36.56, 34.4
38.15, 33.4

a = 9.2271 Å, b = 9.2271 Å, c = 11.0502 Å
α = 120.51°, β = 120.51°, γ = 65.45°
Fractional positions:
Hg  0.0000  0.0000  0.0000
Hg  0.0582  0.0582  0.7265
Hg  0.3959  0.3959  0.0498
Hg  0.5000  0.5000  0.5000
Hg  0.6041  0.6041  0.9502
Hg  0.9418  0.9418  0.2735
S  0.0915  0.0915  0.2685
S  0.9085  0.9085  0.7315
Br  0.2046  0.2046  0.6987
Br  0.2614  0.6296  0.6094
Br  0.2645  0.2645  0.1140
Br  0.3180  0.6820  0.0000
Br  0.3704  0.7386  0.3906
Br  0.6296  0.2614  0.6094
Br  0.6820  0.3180  0.0000
Br  0.7355  0.7355  0.8860
Br  0.7386  0.3704  0.3906
Br  0.7954  0.7954  0.3013